Entry 1:
Starting from a crystal structure in OQMD, relaxed with GGA-PBE, the powder X-ray diffraction pattern of Dy4YEr2Ni2Te2 was calculated for Cu Kα (λ = 1.5418 Å).
No peak broadening, texture or thermal motion is included.

Peak list (12 most intense, 2θ from 5° to 70°, by angle)
2θ (°)	I_rel	h k l
25.0	25	1 0 1
30.1	19	0 5 1
30.4	43	1 1 2
33.0	82	0 3 3
34.0	100	1 4 1
34.4	22	0 6 0
34.5	60	1 3 2
36.7	20	1 0 3
38.5	22	1 2 3
47.2	29	2 0 0
51.0	22	1 7 2
58.8	31	2 3 3

Cell and atoms:
```
data_Dy4YEr2Ni2Te2
_cell_length_a 3.848
_cell_length_b 15.635
_cell_length_c 9.545
_cell_angle_alpha 90.00
_cell_angle_beta 90.00
_cell_angle_gamma 90.00
_symmetry_space_group_name_H-M 'I m m 2'
_symmetry_Int_Tables_number 44
loop_
_symmetry_equiv_pos_as_xyz
'x,y,z'
'-x,-y,z'
'-x,y,z'
'x,-y,z'
'x+1/2,y+1/2,z+1/2'
'-x+1/2,-y+1/2,z+1/2'
'-x+1/2,y+1/2,z+1/2'
'x+1/2,-y+1/2,z+1/2'
loop_
_atom_site_label
_atom_site_fract_x
_atom_site_fract_y
_atom_site_fract_z
_atom_site_occupancy
Dy1 0.000 0.132 0.000 1
Dy2 0.000 0.353 0.852 1
Y1 0.000 0.000 0.583 1
Er1 0.000 0.315 0.202 1
Ni1 0.000 0.238 0.511 1
Te1 0.000 0.000 0.247 1
Te2 0.000 0.500 0.346 1
```

Entry 2:
Starting from a crystal structure in OQMD, relaxed with GGA-PBE, the powder X-ray diffraction pattern of Dy2YEr4Ni2Te2 was calculated for Cu Kα (λ = 1.5418 Å).
No peak broadening, texture or thermal motion is included.

Peak list (12 most intense, 2θ from 5° to 70°, by angle)
2θ (°)	I_rel	h k l
25.0	25	1 0 1
29.0	19	1 3 0
30.2	19	0 5 1
30.5	43	1 1 2
33.1	81	0 3 3
34.2	100	1 4 1
34.7	82	0 6 0
36.8	20	1 0 3
38.6	22	1 2 3
47.4	29	2 0 0
51.2	22	1 7 2
59.1	31	2 3 3

Cell and atoms:
```
data_Dy2YEr4Ni2Te2
_cell_length_a 3.833
_cell_length_b 15.560
_cell_length_c 9.508
_cell_angle_alpha 90.00
_cell_angle_beta 90.00
_cell_angle_gamma 90.00
_symmetry_space_group_name_H-M 'I m m 2'
_symmetry_Int_Tables_number 44
loop_
_symmetry_equiv_pos_as_xyz
'x,y,z'
'-x,-y,z'
'-x,y,z'
'x,-y,z'
'x+1/2,y+1/2,z+1/2'
'-x+1/2,-y+1/2,z+1/2'
'-x+1/2,y+1/2,z+1/2'
'x+1/2,-y+1/2,z+1/2'
loop_
_atom_site_label
_atom_site_fract_x
_atom_site_fract_y
_atom_site_fract_z
_atom_site_occupancy
Dy1 0.000 0.132 0.000 1
Y1 0.000 0.000 0.582 1
Er1 0.000 0.315 0.202 1
Er2 0.000 0.353 0.852 1
Ni1 0.000 0.237 0.510 1
Te1 0.000 0.000 0.247 1
Te2 0.000 0.500 0.346 1
```

Entry 3:
Starting from a crystal structure in OQMD, relaxed with GGA-PBE, the powder X-ray diffraction pattern of Dy4YEr2Ni2Te2 was calculated for Cu Kα (λ = 1.5418 Å).
No peak broadening, texture or thermal motion is included.

Peak list (12 most intense, 2θ from 5° to 70°, by angle)
2θ (°)	I_rel	h k l
25.0	24	1 0 1
30.1	18	0 5 1
30.4	42	1 1 2
33.0	80	0 3 3
34.1	100	1 4 1
34.4	21	0 6 0
34.6	57	1 3 2
36.7	19	1 0 3
38.5	22	1 2 3
47.3	28	2 0 0
51.0	22	1 7 2
58.9	38	2 3 3

Cell and atoms:
```
data_Dy4YEr2Ni2Te2
_cell_length_a 3.840
_cell_length_b 15.631
_cell_length_c 9.544
_cell_angle_alpha 90.00
_cell_angle_beta 90.00
_cell_angle_gamma 90.00
_symmetry_space_group_name_H-M 'I m m 2'
_symmetry_Int_Tables_number 44
loop_
_symmetry_equiv_pos_as_xyz
'x,y,z'
'-x,-y,z'
'-x,y,z'
'x,-y,z'
'x+1/2,y+1/2,z+1/2'
'-x+1/2,-y+1/2,z+1/2'
'-x+1/2,y+1/2,z+1/2'
'x+1/2,-y+1/2,z+1/2'
loop_
_atom_site_label
_atom_site_fract_x
_atom_site_fract_y
_atom_site_fract_z
_atom_site_occupancy
Dy1 0.000 0.132 0.000 1
Dy2 0.000 0.315 0.202 1
Y1 0.000 0.000 0.582 1
Er1 0.000 0.353 0.852 1
Ni1 0.000 0.238 0.509 1
Te1 0.000 0.000 0.247 1
Te2 0.000 0.500 0.346 1
```

Entry 4:
Starting from a crystal structure in OQMD, relaxed with GGA-PBE, the powder X-ray diffraction pattern of DyErO4 was calculated for Cu Kα (λ = 1.5418 Å).
No peak broadening, texture or thermal motion is included.

Peak list (12 most intense, 2θ from 5° to 70°, by angle)
2θ (°)	I_rel	h k l
26.5	31	2 0 0
27.7	20	1 1 0
28.9	18	2 0 -1
29.4	47	0 0 2
30.7	100	1 1 -1
31.8	33	2 0 1
32.1	37	1 1 1
41.9	20	1 1 2
47.5	32	3 1 0
49.7	19	0 2 0
52.0	27	1 1 -3
54.2	17	3 1 -2

Cell and atoms:
```
data_DyErO4
_cell_length_a 6.773
_cell_length_b 3.672
_cell_length_c 6.117
_cell_angle_alpha 90.00
_cell_angle_beta 96.25
_cell_angle_gamma 90.00
_symmetry_space_group_name_H-M 'C 1 m 1'
_symmetry_Int_Tables_number 8
loop_
_symmetry_equiv_pos_as_xyz
'x,y,z'
'x,-y,z'
'x+1/2,y+1/2,z'
'x+1/2,-y+1/2,z'
loop_
_atom_site_label
_atom_site_fract_x
_atom_site_fract_y
_atom_site_fract_z
_atom_site_occupancy
Dy1 0.000 0.000 0.000 1
Er1 0.364 0.000 0.457 1
O1 0.036 0.000 0.378 1
O2 0.089 0.500 0.780 1
O3 0.275 0.500 0.672 1
O4 0.329 0.000 0.086 1
```